(1)
Diffraction record for RbZr6MnCl14. The powder diffraction line list is calculated, not measured: it uses a crystal structure in Alexandria, relaxed with PBE and λ = 1.5418 Å (Cu Kα).
Neutral-atom scattering factors, no anomalous dispersion.

Top 10 peaks for 10 to 90 degrees two-theta, low angle first:
2θ 11.6, 7.637 Å, intensity 100; 2θ 12.0, 7.381 Å, intensity 34; 2θ 13.3, 6.681 Å, intensity 22; 2θ 24.3, 3.658 Å, intensity 21; 2θ 30.6, 2.918 Å, intensity 21; 2θ 31.5, 2.844 Å, intensity 31; 2θ 35.0, 2.564 Å, intensity 23; 2θ 35.7, 2.512 Å, intensity 44; 2θ 41.1, 2.197 Å, intensity 19; 2θ 47.7, 1.907 Å, intensity 27

Structural model:
```
RbZr6MnCl14
1.0
7.381 -6.681 0.000
7.381 6.681 0.000
0.000 0.000 11.989
Rb Zr Mn Cl
2 12 2 28
Cartesian
0.000 0.000 0.000
7.381 0.000 5.995
1.759 0.970 7.409
7.381 4.703 7.343
1.759 -0.970 4.580
5.622 0.970 10.574
7.381 1.977 1.349
5.622 -0.970 1.415
9.140 0.970 10.574
7.381 -1.977 10.641
9.140 -0.970 1.415
13.003 0.970 7.409
7.381 -4.703 4.646
13.003 -0.970 4.580
0.000 0.000 5.995
7.381 0.000 0.000
1.779 1.096 2.994
3.690 1.989 8.992
5.590 3.496 5.930
5.590 3.185 11.924
7.381 4.584 2.908
1.779 -1.096 8.995
3.672 0.000 5.995
3.709 0.000 0.000
5.602 1.096 3.001
7.381 2.097 8.903
9.172 3.496 5.930
9.172 3.185 11.924
3.690 -1.989 2.997
5.602 -1.096 8.988
9.160 1.096 3.001
11.071 1.989 8.992
5.590 -3.185 0.065
5.590 -3.496 6.060
7.381 -2.097 3.086
9.160 -1.096 8.988
11.053 0.000 0.000
11.090 0.000 5.995
12.983 1.096 2.994
7.381 -4.584 9.081
9.172 -3.185 0.065
9.172 -3.496 6.060
11.071 -1.989 2.997
12.983 -1.096 8.995
```

***

(2)
Diffraction record for Na4MgTl3. The powder diffraction line list is calculated, not measured: it uses a crystal structure in Alexandria, relaxed with PBE and λ = 1.5418 Å (Cu Kα).
Neutral-atom scattering factors, no anomalous dispersion.

Top 10 peaks for 10 to 90 degrees two-theta, low angle first:
2θ 18.4, 4.832 Å, intensity 69; 2θ 20.3, 4.370 Å, intensity 100; 2θ 26.6, 3.356 Å, intensity 22; 2θ 32.7, 2.738 Å, intensity 19; 2θ 32.9, 2.725 Å, intensity 20; 2θ 33.2, 2.699 Å, intensity 20; 2θ 33.4, 2.685 Å, intensity 20; 2θ 34.4, 2.607 Å, intensity 25; 2θ 34.7, 2.586 Å, intensity 24; 2θ 36.7, 2.450 Å, intensity 22

Structural model:
```
Na4MgTl3
1.0
3.379 0.000 0.000
0.004 4.900 0.000
1.474 2.369 14.497
Na Mg Tl
4 1 3
Cartesian
0.778 1.216 4.427
0.828 1.222 0.969
4.030 6.048 13.528
4.080 6.054 10.070
0.739 3.635 7.248
2.364 3.600 11.837
2.426 1.185 7.248
2.494 3.669 2.659
```

***

(3)
Diffraction record for PrTm3Hg4. The powder diffraction line list is calculated, not measured: it uses a crystal structure in Alexandria, relaxed with PBE and λ = 1.5418 Å (Cu Kα).
Neutral-atom scattering factors, no anomalous dispersion.

Top 10 peaks for 10 to 90 degrees two-theta, low angle first:
2θ 33.9, 2.646 Å, intensity 100; 2θ 34.4, 2.607 Å, intensity 49; 2θ 47.9, 1.900 Å, intensity 9; 2θ 49.4, 1.844 Å, intensity 18; 2θ 60.3, 1.536 Å, intensity 18; 2θ 61.3, 1.513 Å, intensity 37; 2θ 71.3, 1.323 Å, intensity 11; 2θ 80.1, 1.198 Å, intensity 7; 2θ 82.5, 1.170 Å, intensity 8; 2θ 82.8, 1.166 Å, intensity 8

Structural model:
```
PrTm3Hg4
1.0
5.215 0.000 0.000
0.000 5.215 0.000
0.000 0.000 7.600
Pr Tm Hg
1 3 4
Cartesian
0.000 0.000 0.000
0.000 0.000 3.800
2.607 2.607 0.000
2.607 2.607 3.800
0.000 2.607 2.013
0.000 2.607 5.586
2.607 0.000 2.013
2.607 0.000 5.586
```

***

(4)
Diffraction record for Ac2BeCd. The powder diffraction line list is calculated, not measured: it uses a crystal structure in Alexandria, relaxed with PBE and λ = 1.5418 Å (Cu Kα).
Neutral-atom scattering factors, no anomalous dispersion.

Top 10 peaks for 10 to 90 degrees two-theta, low angle first:
2θ 22.2, 4.009 Å, intensity 18; 2θ 23.0, 3.869 Å, intensity 40; 2θ 25.6, 3.484 Å, intensity 22; 2θ 32.2, 2.784 Å, intensity 100; 2θ 32.7, 2.736 Å, intensity 53; 2θ 39.9, 2.260 Å, intensity 17; 2θ 47.0, 1.934 Å, intensity 20; 2θ 47.6, 1.912 Å, intensity 13; 2θ 57.0, 1.617 Å, intensity 14; 2θ 58.1, 1.588 Å, intensity 38

Structural model:
```
Ac2BeCd
1.0
3.869 0.000 0.000
0.000 3.869 0.000
0.000 0.000 8.018
Ac Be Cd
2 1 1
Cartesian
0.000 0.000 1.775
0.000 0.000 6.243
1.934 1.934 0.000
1.934 1.934 4.009
```

***

(5)
Diffraction record for BeRe5. The powder diffraction line list is calculated, not measured: it uses a crystal structure in Alexandria, relaxed with PBE and λ = 1.5418 Å (Cu Kα).
Neutral-atom scattering factors, no anomalous dispersion.

Top 10 peaks for 10 to 90 degrees two-theta, low angle first:
2θ 21.7, 4.097 Å, intensity 11; 2θ 29.8, 3.000 Å, intensity 18; 2θ 38.0, 2.366 Å, intensity 26; 2θ 41.0, 2.202 Å, intensity 26; 2θ 43.4, 2.084 Å, intensity 100; 2θ 57.1, 1.612 Å, intensity 16; 2θ 68.7, 1.366 Å, intensity 17; 2θ 76.3, 1.248 Å, intensity 19; 2θ 83.2, 1.161 Å, intensity 20; 2θ 84.9, 1.142 Å, intensity 15

Structural model:
```
BeRe5
1.0
4.731 0.000 0.000
-2.366 4.097 0.000
0.000 0.000 4.405
Be Re
1 5
Cartesian
0.000 0.000 0.000
-1.608 2.784 2.202
0.758 1.313 2.202
0.000 2.732 0.000
2.366 1.366 0.000
3.215 0.000 2.202
```